Starting from a PBE-relaxed structure, the PXRD pattern of TbPr2Sb3Pd4 was computed for λ = 1.5418 Å (Cu Kα).

Atomic structure:
Cell: 4.5153 4.5153 11.5975 Å, 90.00 90.00 90.00°
Space group P-4m2 (No. 115)
Inequivalent atoms, fractional coordinates:
Tb 0.0000 0.0000 0.0000
Pr 0.0000 0.5000 0.7117
Sb 0.0000 0.5000 0.3694
Sb 0.5000 0.5000 0.0000
Pd 0.0000 0.0000 0.5000
Pd 0.0000 0.5000 0.1447
Pd 0.5000 0.5000 0.5000

Top 6 peaks for 2θ = 15–90°, by intensity:
2θ (°)  I/Imax  hkl
32.00  100  1 1 2
39.93  62  2 0 0
42.10  41  1 1 4
30.44  35  1 0 3
67.57  23  3 1 2
57.75  21  2 2 0